Calculated PXRD pattern
Compound: Ti3Nb
Radiation: Cu Kα X-rays
Structure: a structure optimized by DFT (GGA-PBE)
Kinematic intensities with the Lorentz-polarization factor, no thermal factor.

Structural model:
abc: 7.291 8.635 4.444
angles: 90.00 90.00 90.00
Space group Cmcm (No. 63)
Inequivalent atoms, fractional coordinates:
Ti (0.000, 0.111, 0.250) (multiplicity 4)
Ti (0.221, 0.386, 0.250) (multiplicity 8)
Nb (0.000, 0.335, 0.750) (multiplicity 4)

Top 8 peaks for 5 to 70 degrees two-theta, in order of falling intensity:
38.1°, I = 1000, (2 2 1)
40.6°, I = 246, (0 0 2)
41.8°, I = 140, (0 4 0)
66.4°, I = 115, (4 0 2)
50.0°, I = 104, (4 0 0)
43.7°, I = 101, (3 1 1)
33.5°, I = 100, (1 3 0)
25.6°, I = 97, (1 1 1)